Calculated XRD peak list
Compound: K2Zn5Pb3
Radiation: Cu Kα
Structure: a structure optimized by DFT (GGA-PBE)

Atomic structure:
```
K2Zn5Pb3
1.0
-2.599 2.599 10.370
2.599 -2.599 10.370
2.599 2.599 -10.370
K Zn Pb
2 5 3
direct
0.185 0.185 0.000
0.815 0.815 0.000
0.068 0.568 0.500
0.432 0.932 0.500
0.500 0.500 0.000
0.568 0.068 0.500
0.932 0.432 0.500
0.000 0.000 0.000
0.365 0.365 0.000
0.635 0.635 0.000
```

Top 10 peaks for 2θ from 15° to 90°, in order of rising 2θ:
- d 4.154, 21.4 deg, rel. 81
- d 3.675, 24.2 deg, rel. 46
- d 3.242, 27.5 deg, rel. 45
- d 2.598, 34.5 deg, rel. 95
- d 2.518, 35.7 deg, rel. 100
- d 2.203, 41.0 deg, rel. 33
- d 2.118, 42.7 deg, rel. 64
- d 1.837, 49.6 deg, rel. 38
- d 1.484, 62.6 deg, rel. 30
- d 1.388, 67.5 deg, rel. 33